Theoretical powder diffractogram of Li4Ga4P4O17F3 for Cu Kα X-rays, from the PBE geometry in Alexandria.
No peak broadening, texture or thermal motion is included.

Peak list (6 most intense, 15° ≤ 2θ ≤ 90°, low angle first)
two_theta  Rel. int.
18.11  62
18.76  85
22.40  42
27.00  76
27.10  100
29.53  95

Crystal structure
```
Li4Ga4P4O17F3
1.0
6.8407 0.0000 0.0000
-0.0764 7.4784 0.0000
-0.1488 -3.4235 6.8265
Li Ga P O F
4 4 4 17 3
direct
0.0000 0.0000 0.0000 Li
0.1597 0.3967 0.9209 Li
0.4617 0.5552 0.4479 Li
0.6583 0.9053 0.4066 Li
0.0711 0.2298 0.4381 Ga
0.3096 0.9851 0.6802 Ga
0.5589 0.7234 0.9270 Ga
0.8140 0.4738 0.1783 Ga
0.2081 0.7594 0.2192 P
0.4234 0.1897 0.1402 P
0.7080 0.2625 0.7238 P
0.9142 0.6963 0.6336 P
0.0391 0.5155 0.5988 O
0.0460 0.8767 0.6616 O
0.0769 0.5837 0.2064 O
0.0887 0.9414 0.2379 O
0.2025 0.2069 0.6509 O
0.2671 0.1337 0.9704 O
0.3141 0.6656 0.0206 O
0.3189 0.2828 0.3405 O
0.3594 0.8150 0.3933 O
0.5443 0.0076 0.1126 O
0.5510 0.3692 0.1557 O
0.5783 0.4389 0.7462 O
0.5802 0.0811 0.7034 O
0.7610 0.6463 0.4614 O
0.8084 0.7744 0.8325 O
0.8173 0.1737 0.5259 O
0.8597 0.3268 0.8972 O
0.4154 0.7530 0.7127 F
0.7070 0.7032 0.1442 F
0.9227 0.2489 0.2152 F
```


Theoretical powder diffractogram of La2DyPu3Te6 for Cu Kα X-rays, from the PBE geometry in Alexandria.
No peak broadening, texture or thermal motion is included.

Peak list (6 most intense, 15° ≤ 2θ ≤ 90°, low angle first)
two_theta  Rel. int.
28.22  100
40.23  39
40.45  38
50.05  21
65.92  18
66.23  18

Crystal structure
```
La2DyPu3Te6
1.0
9.7387 -2.2289 0.0000
9.7387 2.2289 0.0000
-2.0019 0.0000 8.7397
La Dy Pu Te
2 1 3 6
direct
0.1656 0.1656 0.3351 La
0.8344 0.8344 0.6649 La
0.5000 0.5000 0.0000 Dy
0.1696 0.1696 0.8369 Pu
0.5000 0.5000 0.5000 Pu
0.8304 0.8304 0.1631 Pu
0.0038 0.0038 0.7564 Te
0.3351 0.3351 0.4084 Te
0.3360 0.3360 0.9240 Te
0.6640 0.6640 0.0760 Te
0.6649 0.6649 0.5916 Te
0.9962 0.9962 0.2436 Te
```


Theoretical powder diffractogram of Ca2CuB2H12O12 for Cu Kα X-rays, from the PBE geometry in Alexandria.
No peak broadening, texture or thermal motion is included.

Peak list (6 most intense, 15° ≤ 2θ ≤ 90°, low angle first)
two_theta  Rel. int.
16.40  68
16.62  100
20.52  46
23.59  46
26.43  83
35.42  54

Crystal structure
```
Ca2CuB2H12O12
1.0
5.7363 0.0000 0.0000
0.0426 5.7609 0.0000
2.7270 0.9443 7.6363
Ca Cu B H O
2 1 2 12 12
direct
0.2229 0.4965 0.2621 Ca
0.7771 0.5035 0.7379 Ca
0.0000 0.0000 0.5000 Cu
0.2462 0.2827 0.9098 B
0.7538 0.7173 0.0902 B
0.0398 0.0493 0.1303 H
0.1905 0.6348 0.8800 H
0.2027 0.2230 0.6766 H
0.3013 0.7109 0.5399 H
0.4382 0.0652 0.3985 H
0.4740 0.9962 0.8896 H
0.5260 0.0038 0.1104 H
0.5618 0.9348 0.6015 H
0.6987 0.2891 0.4601 H
0.7973 0.7770 0.3234 H
0.8095 0.3652 0.1200 H
0.9602 0.9507 0.8697 H
0.0936 0.2379 0.7989 O
0.0948 0.2171 0.0964 O
0.1454 0.6939 0.5179 O
0.3145 0.1772 0.4496 O
0.3245 0.5313 0.8913 O
0.4844 0.1640 0.8540 O
0.5156 0.8360 0.1460 O
0.6755 0.4687 0.1087 O
0.6855 0.8228 0.5504 O
0.8546 0.3061 0.4821 O
0.9052 0.7829 0.9036 O
0.9064 0.7621 0.2011 O
```


Theoretical powder diffractogram of H5W for Cu Kα X-rays, from the PBE geometry in Alexandria.
No peak broadening, texture or thermal motion is included.

Peak list (6 most intense, 15° ≤ 2θ ≤ 90°, low angle first)
two_theta  Rel. int.
18.66  100
31.02  28
32.66  49
36.44  37
45.66  39
53.57  26

Crystal structure
```
H5W
1.0
1.4316 -4.7559 0.0000
1.4316 4.7559 0.0000
0.0000 0.0000 2.8832
H W
5 1
direct
0.0000 0.0000 0.0000 H
0.1306 0.8694 0.5000 H
0.3696 0.6304 0.0000 H
0.6304 0.3696 0.0000 H
0.8694 0.1306 0.5000 H
0.5000 0.5000 0.5000 W
```


Theoretical powder diffractogram of TlMo2N for Cu Kα X-rays, from the PBE geometry in Alexandria.
No peak broadening, texture or thermal motion is included.

Peak list (6 most intense, 15° ≤ 2θ ≤ 90°, low angle first)
two_theta  Rel. int.
28.85  100
29.82  73
38.72  85
45.02  24
47.82  32
57.31  29

Crystal structure
```
TlMo2N
1.0
-2.6617 2.6617 5.4383
2.6617 -2.6617 5.4383
2.6617 2.6617 -5.4383
Tl Mo N
2 4 2
direct
0.0000 0.0000 0.0000 Tl
0.7500 0.2500 0.5000 Tl
0.2822 0.6250 0.1572 Mo
0.3750 0.5322 0.6572 Mo
0.4678 0.1250 0.8428 Mo
0.8750 0.7178 0.3428 Mo
0.2500 0.7500 0.5000 N
0.5000 0.5000 0.0000 N
```


Theoretical powder diffractogram of Pu4RuRh3 for Cu Kα X-rays, from the PBE geometry in Alexandria.
No peak broadening, texture or thermal motion is included.

Peak list (6 most intense, 15° ≤ 2θ ≤ 90°, low angle first)
two_theta  Rel. int.
26.12  17
37.27  100
53.73  18
60.70  8
67.21  36
79.45  11

Crystal structure
```
Pu4RuRh3
1.0
-3.4118 3.4118 3.4118
3.4118 -3.4118 3.4118
3.4118 3.4118 -3.4118
Pu Ru Rh
4 1 3
direct
0.0000 0.0000 0.5000 Pu
0.0000 0.5000 0.0000 Pu
0.5000 0.0000 0.0000 Pu
0.5000 0.5000 0.5000 Pu
0.0000 0.0000 0.0000 Ru
0.0000 0.5000 0.5000 Rh
0.5000 0.0000 0.5000 Rh
0.5000 0.5000 0.0000 Rh
```


Theoretical powder diffractogram of CsAg5Te3 for Cu Kα X-rays, from the PBE geometry in Alexandria.
No peak broadening, texture or thermal motion is included.

Peak list (6 most intense, 15° ≤ 2θ ≤ 90°, low angle first)
two_theta  Rel. int.
23.93  45
31.41  50
35.85  100
38.80  60
42.99  38
43.12  48

Crystal structure
```
CsAg5Te3
1.0
14.8770 0.0000 0.0000
0.0000 14.8770 0.0000
0.0000 0.0000 4.6399
Cs Ag Te
4 20 12
direct
0.1127 0.1127 0.0000 Cs
0.3873 0.6127 0.5000 Cs
0.6127 0.3873 0.5000 Cs
0.8873 0.8873 0.0000 Cs
0.0171 0.3963 0.0000 Ag
0.0794 0.7128 0.5000 Ag
0.1037 0.5171 0.5000 Ag
0.1781 0.8219 0.0000 Ag
0.2128 0.4206 0.0000 Ag
0.2872 0.9206 0.5000 Ag
0.3219 0.3219 0.5000 Ag
0.3963 0.0171 0.0000 Ag
0.4206 0.2128 0.0000 Ag
0.4829 0.8963 0.5000 Ag
0.5171 0.1037 0.5000 Ag
0.5794 0.7872 0.0000 Ag
0.6037 0.9829 0.0000 Ag
0.6781 0.6781 0.5000 Ag
0.7128 0.0794 0.5000 Ag
0.7872 0.5794 0.0000 Ag
0.8219 0.1781 0.0000 Ag
0.8963 0.4829 0.5000 Ag
0.9206 0.2872 0.5000 Ag
0.9829 0.6037 0.0000 Ag
0.1008 0.8992 0.5000 Te
0.1173 0.3280 0.5000 Te
0.1720 0.6173 0.0000 Te
0.3280 0.1173 0.5000 Te
0.3827 0.8280 0.0000 Te
0.3992 0.3992 0.0000 Te
0.6008 0.6008 0.0000 Te
0.6173 0.1720 0.0000 Te
0.6720 0.8827 0.5000 Te
0.8280 0.3827 0.0000 Te
0.8827 0.6720 0.5000 Te
0.8992 0.1008 0.5000 Te
```


Theoretical powder diffractogram of USnCl6 for Cu Kα X-rays, from the PBE geometry in Alexandria.
No peak broadening, texture or thermal motion is included.

Peak list (6 most intense, 15° ≤ 2θ ≤ 90°, low angle first)
two_theta  Rel. int.
15.05  40
20.51  100
29.77  22
33.52  30
38.68  50
43.05  31

Crystal structure
```
USnCl6
1.0
6.7969 0.0000 0.0000
-3.3984 5.8863 0.0000
0.0000 0.0000 12.7829
U Sn Cl
2 2 12
direct
0.0000 0.0000 0.0000 U
0.0000 0.0000 0.5000 U
0.3333 0.6667 0.2500 Sn
0.6667 0.3333 0.7500 Sn
0.0016 0.3163 0.6198 Cl
0.0016 0.6852 0.8802 Cl
0.3148 0.3163 0.8802 Cl
0.3148 0.9984 0.6198 Cl
0.3163 0.0016 0.1198 Cl
0.3163 0.3148 0.3802 Cl
0.6837 0.6852 0.6198 Cl
0.6837 0.9984 0.8802 Cl
0.6852 0.0016 0.3802 Cl
0.6852 0.6837 0.1198 Cl
0.9984 0.3148 0.1198 Cl
0.9984 0.6837 0.3802 Cl
```


Theoretical powder diffractogram of PrB5C2 for Cu Kα X-rays, from the PBE geometry in Alexandria.
No peak broadening, texture or thermal motion is included.

Peak list (6 most intense, 15° ≤ 2θ ≤ 90°, low angle first)
two_theta  Rel. int.
21.09  100
23.70  71
25.58  55
33.00  43
37.32  69
45.39  65

Crystal structure
```
PrB5C2
1.0
-2.2697 2.7141 3.3381
2.2697 -2.7141 3.3381
2.2697 2.7141 -3.3381
Pr B C
1 5 2
direct
0.0000 0.0000 0.0000 Pr
0.0000 0.5000 0.5000 B
0.3754 0.1685 0.7931 B
0.3754 0.5823 0.2069 B
0.6246 0.4177 0.7931 B
0.6246 0.8315 0.2069 B
0.2344 0.7344 0.5000 C
0.7656 0.2656 0.5000 C
```


Theoretical powder diffractogram of NaSr4As4 for Cu Kα X-rays, from the PBE geometry in Alexandria.
No peak broadening, texture or thermal motion is included.

Peak list (6 most intense, 15° ≤ 2θ ≤ 90°, low angle first)
two_theta  Rel. int.
29.62  100
30.31  93
31.12  61
33.20  36
33.83  41
36.07  48

Crystal structure
```
NaSr4As4
1.0
7.8333 0.0000 0.0000
0.0000 15.9824 0.0000
0.0000 0.0000 8.2751
Na Sr As
4 16 16
direct
0.1879 0.2500 0.0182 Na
0.3121 0.7500 0.5182 Na
0.6879 0.2500 0.4818 Na
0.8121 0.7500 0.9818 Na
0.0012 0.0962 0.3084 Sr
0.0012 0.4038 0.3084 Sr
0.1426 0.6226 0.1701 Sr
0.1426 0.8774 0.1701 Sr
0.3574 0.1226 0.6701 Sr
0.3574 0.3774 0.6701 Sr
0.4988 0.5962 0.8084 Sr
0.4988 0.9038 0.8084 Sr
0.5012 0.0962 0.1916 Sr
0.5012 0.4038 0.1916 Sr
0.6426 0.6226 0.3299 Sr
0.6426 0.8774 0.3299 Sr
0.8574 0.1226 0.8299 Sr
0.8574 0.3774 0.8299 Sr
0.9988 0.5962 0.6916 Sr
0.9988 0.9038 0.6916 Sr
0.0570 0.2500 0.5864 As
0.1941 0.0376 0.9648 As
0.1941 0.4624 0.9648 As
0.2092 0.7500 0.8741 As
0.2908 0.2500 0.3741 As
0.3059 0.5376 0.4648 As
0.3059 0.9624 0.4648 As
0.4430 0.7500 0.0864 As
0.5570 0.2500 0.9136 As
0.6941 0.0376 0.5352 As
0.6941 0.4624 0.5352 As
0.7092 0.7500 0.6259 As
0.7908 0.2500 0.1259 As
0.8059 0.5376 0.0352 As
0.8059 0.9624 0.0352 As
0.9430 0.7500 0.4136 As
```


Theoretical powder diffractogram of ThIn3Br7 for Cu Kα X-rays, from the PBE geometry in Alexandria.
No peak broadening, texture or thermal motion is included.

Peak list (6 most intense, 15° ≤ 2θ ≤ 90°, low angle first)
two_theta  Rel. int.
18.83  36
19.87  53
21.60  100
30.74  51
33.23  59
34.46  41

Crystal structure
```
ThIn3Br7
1.0
5.8267 -4.9353 0.0000
5.8267 4.9353 0.0000
-5.4188 0.0000 7.4529
Th In Br
1 3 7
direct
0.0000 0.0000 0.0000 Th
0.3009 0.8945 0.5695 In
0.5650 0.5650 0.1146 In
0.8945 0.3009 0.5695 In
0.2047 0.6763 0.8137 Br
0.2133 0.2133 0.9334 Br
0.3738 0.9972 0.2922 Br
0.6763 0.2047 0.8137 Br
0.6901 0.6901 0.6837 Br
0.8612 0.8612 0.1747 Br
0.9972 0.3738 0.2922 Br
```